Entry 1:
The following is a simulated X-ray diffraction stick pattern of ThCdPt2. It was derived from DFT lattice parameters and positions (PBE), using Cu Kα (weighted mean of Kα1 and Kα2).

Largest 10 diffraction maxima, in order of falling intensity, 2θ from 10° to 90°:
36.3 deg, rel. 100; 65.4 deg, rel. 37; 52.3 deg, rel. 18; 88.4 deg, rel. 17; 77.1 deg, rel. 11; 22.0 deg, rel. 5; 42.9 deg, rel. 3; 57.4 deg, rel. 1; 81.4 deg, rel. 1; 69.9 deg, rel. 1

Cell and atoms:
```
data_ThCdPt2
_space_group_name_H-M_alt 'F m -3 m'
_space_group_IT_number 225
_space_group_name_Hall '-F 4 2 3'
_cell_length_a 6.9942
_cell_length_b 6.9942
_cell_length_c 6.9942
_cell_angle_alpha 90.00
_cell_angle_beta 90.00
_cell_angle_gamma 90.00
loop_
_atom_site_label
_atom_site_type_symbol
_atom_site_fract_x
_atom_site_fract_y
_atom_site_fract_z
Th1 Th 0.0000 0.0000 0.0000
Cd1 Cd 0.0000 0.0000 0.5000
Pt1 Pt 0.2500 0.2500 0.2500
```

Entry 2:
The following is a simulated X-ray diffraction stick pattern of TmCdPt2. It was derived from DFT lattice parameters and positions (PBE), using Cu Kα (weighted mean of Kα1 and Kα2).

Largest 10 diffraction maxima, in order of falling intensity, 2θ from 10° to 90°:
37.7 deg, rel. 100; 68.1 deg, rel. 36; 54.4 deg, rel. 17; 80.6 deg, rel. 11; 26.4 deg, rel. 3; 22.8 deg, rel. 1; 61.5 deg, rel. 1; 46.7 deg, rel. 1; 44.6 deg, rel. 1; 86.6 deg, rel. 1

Cell and atoms:
```
data_TmCdPt2
_space_group_name_H-M_alt 'F m -3 m'
_space_group_IT_number 225
_space_group_name_Hall '-F 4 2 3'
_cell_length_a 6.7441
_cell_length_b 6.7441
_cell_length_c 6.7441
_cell_angle_alpha 90.00
_cell_angle_beta 90.00
_cell_angle_gamma 90.00
loop_
_atom_site_label
_atom_site_type_symbol
_atom_site_fract_x
_atom_site_fract_y
_atom_site_fract_z
Tm1 Tm 0.0000 0.0000 0.0000
Cd1 Cd 0.0000 0.0000 0.5000
Pt1 Pt 0.2500 0.2500 0.2500
```

Entry 3:
The following is a simulated X-ray diffraction stick pattern of Y4CdPt. It was derived from DFT lattice parameters and positions (PBE), using Cu Kα (weighted mean of Kα1 and Kα2).

Largest 10 diffraction maxima, in order of falling intensity, 2θ from 10° to 90°:
33.8 deg, rel. 100; 36.9 deg, rel. 37; 56.7 deg, rel. 30; 31.8 deg, rel. 27; 22.4 deg, rel. 22; 11.1 deg, rel. 19; 38.7 deg, rel. 14; 58.0 deg, rel. 14; 70.8 deg, rel. 13; 67.7 deg, rel. 12

Cell and atoms:
```
data_Y4CdPt
_space_group_name_H-M_alt 'F -4 3 m'
_space_group_IT_number 216
_space_group_name_Hall 'F -4 2 3'
_cell_length_a 13.7719
_cell_length_b 13.7719
_cell_length_c 13.7719
_cell_angle_alpha 90.00
_cell_angle_beta 90.00
_cell_angle_gamma 90.00
loop_
_atom_site_label
_atom_site_type_symbol
_atom_site_fract_x
_atom_site_fract_y
_atom_site_fract_z
Y1 Y 0.0000 0.0000 0.1847
Y2 Y 0.0605 0.2500 0.7500
Y3 Y 0.1025 0.1025 0.3975
Cd1 Cd 0.1681 0.1681 0.1681
Pt1 Pt 0.1067 0.1067 0.6067
```

Entry 4:
The following is a simulated X-ray diffraction stick pattern of YCdPt2. It was derived from DFT lattice parameters and positions (PBE), using Cu Kα (weighted mean of Kα1 and Kα2).

Largest 8 diffraction maxima, in order of falling intensity, 2θ from 10° to 90°:
37.4 deg, rel. 100; 67.4 deg, rel. 35; 53.9 deg, rel. 17; 79.7 deg, rel. 11; 26.2 deg, rel. 11; 60.9 deg, rel. 5; 46.2 deg, rel. 4; 85.6 deg, rel. 3

Cell and atoms:
```
data_YCdPt2
_space_group_name_H-M_alt 'F m -3 m'
_space_group_IT_number 225
_space_group_name_Hall '-F 4 2 3'
_cell_length_a 6.8069
_cell_length_b 6.8069
_cell_length_c 6.8069
_cell_angle_alpha 90.00
_cell_angle_beta 90.00
_cell_angle_gamma 90.00
loop_
_atom_site_label
_atom_site_type_symbol
_atom_site_fract_x
_atom_site_fract_y
_atom_site_fract_z
Y1 Y 0.0000 0.0000 0.0000
Cd1 Cd 0.0000 0.0000 0.5000
Pt1 Pt 0.2500 0.2500 0.2500
```

Entry 5:
The following is a simulated X-ray diffraction stick pattern of PuCd11. It was derived from DFT lattice parameters and positions (PBE), using Cu Kα (weighted mean of Kα1 and Kα2).

Largest 10 diffraction maxima, in order of falling intensity, 2θ from 10° to 90°:
31.2 deg, rel. 100; 32.6 deg, rel. 75; 39.0 deg, rel. 62; 43.6 deg, rel. 45; 40.2 deg, rel. 44; 33.9 deg, rel. 40; 29.7 deg, rel. 35; 76.9 deg, rel. 24; 54.5 deg, rel. 22; 57.2 deg, rel. 22

Cell and atoms:
```
data_PuCd11
_space_group_name_H-M_alt 'P m -3 m'
_space_group_IT_number 221
_space_group_name_Hall '-P 4 2 3'
_cell_length_a 9.5206
_cell_length_b 9.5206
_cell_length_c 9.5206
_cell_angle_alpha 90.00
_cell_angle_beta 90.00
_cell_angle_gamma 90.00
loop_
_atom_site_label
_atom_site_type_symbol
_atom_site_fract_x
_atom_site_fract_y
_atom_site_fract_z
Pu1 Pu 0.0000 0.0000 0.5000
Cd1 Cd 0.0000 0.3450 0.3450
Cd2 Cd 0.1551 0.1551 0.1551
Cd3 Cd 0.2663 0.2663 0.5000
Cd4 Cd 0.5000 0.5000 0.5000
```

Entry 6:
The following is a simulated X-ray diffraction stick pattern of PuCdRh2. It was derived from DFT lattice parameters and positions (PBE), using Cu Kα (weighted mean of Kα1 and Kα2).

Largest 10 diffraction maxima, in order of falling intensity, 2θ from 10° to 90°:
38.6 deg, rel. 100; 69.8 deg, rel. 35; 55.7 deg, rel. 17; 82.7 deg, rel. 11; 23.3 deg, rel. 10; 27.0 deg, rel. 7; 45.6 deg, rel. 6; 63.0 deg, rel. 3; 61.2 deg, rel. 3; 47.7 deg, rel. 2

Cell and atoms:
```
data_PuCdRh2
_space_group_name_H-M_alt 'F m -3 m'
_space_group_IT_number 225
_space_group_name_Hall '-F 4 2 3'
_cell_length_a 6.6008
_cell_length_b 6.6008
_cell_length_c 6.6008
_cell_angle_alpha 90.00
_cell_angle_beta 90.00
_cell_angle_gamma 90.00
loop_
_atom_site_label
_atom_site_type_symbol
_atom_site_fract_x
_atom_site_fract_y
_atom_site_fract_z
Pu1 Pu 0.0000 0.0000 0.0000
Cd1 Cd 0.0000 0.0000 0.5000
Rh1 Rh 0.2500 0.2500 0.2500
```

Entry 7:
The following is a simulated X-ray diffraction stick pattern of Rb3Cd. It was derived from DFT lattice parameters and positions (PBE), using Cu Kα (weighted mean of Kα1 and Kα2).

Largest 10 diffraction maxima, in order of falling intensity, 2θ from 10° to 90°:
24.4 deg, rel. 100; 28.3 deg, rel. 34; 47.8 deg, rel. 31; 40.2 deg, rel. 26; 28.0 deg, rel. 18; 47.4 deg, rel. 16; 49.9 deg, rel. 14; 40.5 deg, rel. 13; 64.0 deg, rel. 13; 73.4 deg, rel. 9

Cell and atoms:
```
data_Rb3Cd
_space_group_name_H-M_alt 'I 4/m m m'
_space_group_IT_number 139
_space_group_name_Hall '-I 4 2'
_cell_length_a 6.3041
_cell_length_b 6.3041
_cell_length_c 12.7613
_cell_angle_alpha 90.00
_cell_angle_beta 90.00
_cell_angle_gamma 90.00
loop_
_atom_site_label
_atom_site_type_symbol
_atom_site_fract_x
_atom_site_fract_y
_atom_site_fract_z
Rb1 Rb 0.0000 0.0000 0.0000
Rb2 Rb 0.0000 0.5000 0.2500
Cd1 Cd 0.0000 0.0000 0.5000
```

Entry 8:
The following is a simulated X-ray diffraction stick pattern of Rb3Cd. It was derived from DFT lattice parameters and positions (PBE), using Cu Kα (weighted mean of Kα1 and Kα2).

Largest 10 diffraction maxima, in order of falling intensity, 2θ from 10° to 90°:
24.4 deg, rel. 100; 28.3 deg, rel. 52; 47.8 deg, rel. 47; 40.4 deg, rel. 39; 64.3 deg, rel. 19; 66.2 deg, rel. 17; 78.8 deg, rel. 14; 50.1 deg, rel. 14; 73.5 deg, rel. 13; 58.5 deg, rel. 6

Cell and atoms:
```
data_Rb3Cd
_space_group_name_H-M_alt 'P m -3 m'
_space_group_IT_number 221
_space_group_name_Hall '-P 4 2 3'
_cell_length_a 6.3125
_cell_length_b 6.3125
_cell_length_c 6.3125
_cell_angle_alpha 90.00
_cell_angle_beta 90.00
_cell_angle_gamma 90.00
loop_
_atom_site_label
_atom_site_type_symbol
_atom_site_fract_x
_atom_site_fract_y
_atom_site_fract_z
Rb1 Rb 0.0000 0.0000 0.5000
Cd1 Cd 0.5000 0.5000 0.5000
```